Tb3ZnRu: computed X-ray diffraction stick pattern (λ = 1.5418 Å (Cu Kα)), based on the GGA-PBE geometry in Alexandria.
Lines closer than 0.1° are merged.

Cell and atoms:
```
20
Lattice="7.9791 0.0000 0.0000 0.0000 5.8108 0.0000 -0.3664 0.0000 11.0092" Properties=species:S:1:pos:R:3 pbc="T T T"
Tb 0.0921 0.7144 3.8801
Tb -0.0911 2.1910 9.3847
Tb 1.9210 3.3980 4.6809
Tb 1.7378 5.3182 10.1856
Tb 2.8050 0.5959 6.8742
Tb 2.9882 2.3094 1.3696
Tb 4.6245 3.5013 9.6396
Tb 4.8077 5.2148 4.1350
Tb 5.8749 0.4926 0.8237
Tb 5.6917 2.4128 6.3283
Tb 7.7038 3.6198 1.6245
Tb 7.5206 5.0964 7.1292
Zn 2.3087 3.5045 7.7157
Zn 2.4919 5.2117 2.2111
Zn 5.1207 0.5991 8.7982
Zn 5.3040 2.3063 3.2935
Ru 0.6490 0.8997 1.0637
Ru 0.4657 2.0056 6.5683
Ru 7.1469 3.8051 4.4409
Ru 6.9637 4.9110 9.9455
```

The 10 most intense peaks (10 to 90 degrees two-theta), most intense first:
2theta, d/Å, intensity
33.73, 2.657, 100
28.55, 3.127, 49
36.15, 2.485, 45
32.53, 2.752, 31
31.24, 2.863, 29
37.20, 2.417, 28
41.46, 2.178, 22
39.39, 2.287, 21
11.10, 7.975, 20
27.17, 3.282, 18